No. 1
Structure and computed powder X-ray diffraction pattern of Mg5Pd2 (a structure optimized by DFT (GGA-PBE); a wavelength of 1.5418 Å).

Largest 8 diffraction maxima, in order of rising 2θ, 15° ≤ 2θ ≤ 90°:
d (Å)  two_theta  I/Imax  index
5.535  16.0  789  1 0 1
3.914  22.7  665  0 0 2
2.768  32.3  1000  2 1 1
2.475  36.3  953  3 0 1
2.360  38.1  919  2 1 2
2.260  39.9  388  2 2 0
1.957  46.4  658  0 0 4
1.479  62.8  274  2 2 4

Cell and atoms:
```
data_Mg5Pd2
_cell_length_a 9.0393
_cell_length_b 9.0393
_cell_length_c 7.8276
_cell_angle_alpha 90.00
_cell_angle_beta 90.00
_cell_angle_gamma 120.00
_symmetry_space_group_name_H-M 'P 63/m m c'
_symmetry_Int_Tables_number 194
_symmetry_space_group_name_Hall '-P 6c 2c'
loop_
_atom_site_label
_atom_site_fract_x
_atom_site_fract_y
_atom_site_fract_z
_atom_site_occupancy
Mg1 0.0000 0.0000 0.0000 1
Mg2 0.0236 0.5118 0.2500 1
Mg3 0.1985 0.3971 0.5510 1
Pd1 0.1235 0.2470 0.2500 1
Pd2 0.3333 0.6667 0.2500 1
```



No. 2
Structure and computed powder X-ray diffraction pattern of Ta3RhS6 (a structure optimized by DFT (GGA-PBE); a wavelength of 1.5418 Å).

Largest 8 diffraction maxima, in order of rising 2θ, 15° ≤ 2θ ≤ 90°:
d (Å)  two_theta  I/Imax  index
3.047  29.3  168  0 0 4
2.884  31.0  665  1 1 0
2.607  34.4  664  1 1 2
2.094  43.2  1000  1 1 4
1.665  55.2  307  3 0 0
1.661  55.3  156  1 1 6
1.303  72.5  214  2 2 4
1.124  86.6  173  3 0 8

Cell and atoms:
```
data_Ta3RhS6
_cell_length_a 5.7677
_cell_length_b 5.7677
_cell_length_c 12.1867
_cell_angle_alpha 90.00
_cell_angle_beta 90.00
_cell_angle_gamma 120.00
_symmetry_space_group_name_H-M 'P 63 2 2'
_symmetry_Int_Tables_number 182
_symmetry_space_group_name_Hall 'P 6c 2c'
loop_
_atom_site_label
_atom_site_fract_x
_atom_site_fract_y
_atom_site_fract_z
_atom_site_occupancy
Ta1 0.0000 0.0000 0.0000 1
Ta2 0.3333 0.6667 0.0026 1
Rh1 0.3333 0.6667 0.7500 1
S1 0.0034 0.3331 0.3707 1
```



No. 3
Structure and computed powder X-ray diffraction pattern of ErSiPd (a structure optimized by DFT (GGA-PBE); a wavelength of 1.5418 Å).

Largest 8 diffraction maxima, in order of rising 2θ, 15° ≤ 2θ ≤ 90°:
d (Å)  two_theta  I/Imax  index
3.732  23.8  222  1 0 1
3.602  24.7  113  1 1 1
2.611  34.3  245  1 2 2
2.538  35.4  1000  1 4 1
2.158  41.9  219  2 0 0
2.152  42.0  293  1 0 3
1.643  56.0  161  2 4 2
1.374  68.3  127  1 6 4

Cell and atoms:
```
data_ErSiPd
_cell_length_a 4.316
_cell_length_b 13.853
_cell_length_c 7.447
_cell_angle_alpha 90.00
_cell_angle_beta 90.00
_cell_angle_gamma 90.00
_symmetry_space_group_name_H-M 'P m m n'
_symmetry_Int_Tables_number 59
loop_
_symmetry_equiv_pos_as_xyz
'x,y,z'
'-x,-y,-z'
'-x+1/2,-y+1/2,z'
'x+1/2,y+1/2,-z'
'x+1/2,-y,-z'
'-x+1/2,y,z'
'-x,y+1/2,-z'
'x,-y+1/2,z'
loop_
_atom_site_label
_atom_site_fract_x
_atom_site_fract_y
_atom_site_fract_z
_atom_site_occupancy
Er1 0.250 0.001 0.210 1
Er2 0.250 0.250 0.300 1
Er3 0.250 0.750 0.293 1
Si1 0.250 0.105 0.593 1
Si2 0.250 0.657 0.908 1
Pd1 0.250 0.141 0.924 1
Pd2 0.250 0.593 0.582 1
```



No. 4
Structure and computed powder X-ray diffraction pattern of NaNbO3 (a structure optimized by DFT (GGA-PBE); a wavelength of 1.5418 Å).

Largest 8 diffraction maxima, in order of rising 2θ, 15° ≤ 2θ ≤ 90°:
d (Å)  two_theta  I/Imax  index
5.308  16.7  890  0 0 3
4.506  19.7  708  1 0 1
4.046  22.0  363  0 1 2
3.037  29.4  1000  1 0 4
2.713  33.0  726  1 1 0
2.415  37.2  579  1 1 3
2.023  44.8  378  0 2 4
1.897  48.0  596  1 1 6

Cell and atoms:
```
data_NaNbO3
_cell_length_a 5.4252
_cell_length_b 5.4252
_cell_length_c 15.9233
_cell_angle_alpha 90.00
_cell_angle_beta 90.00
_cell_angle_gamma 120.00
_symmetry_space_group_name_H-M 'R -3'
_symmetry_Int_Tables_number 148
_symmetry_space_group_name_Hall '-R 3'
loop_
_atom_site_label
_atom_site_fract_x
_atom_site_fract_y
_atom_site_fract_z
_atom_site_occupancy
Na1 0.0000 0.0000 0.1417 1
Nb1 0.0000 0.0000 0.3518 1
O1 0.0110 0.3972 0.9280 1
```